[1]
Computed X-ray diffraction stick pattern of Na5Bi2PC4O16 for Cu Kα, from a GGA-PBE-relaxed structure.
Peak positions follow from Bragg's law for the DFT cell and can differ from measured ones.

Peak list (10 most intense, 10° ≤ 2θ ≤ 90°, low angle first)
2θ/deg, I_rel
10.42, 100
19.79, 53
20.15, 87
20.93, 74
31.14, 26
31.77, 27
31.93, 27
34.36, 53
34.80, 24
36.33, 25

Cell and atoms:
```
Na5Bi2PC4O16
1.0
0.000 7.312 7.475
7.272 0.000 7.475
7.272 7.312 0.000
Na Bi P C O
10 4 2 8 32
Direct
0.000 0.000 0.000
0.250 0.250 0.250
0.257 0.861 0.254
0.257 0.863 0.627
0.621 0.996 0.389
0.623 0.997 0.993
0.861 0.257 0.629
0.863 0.257 0.253
0.996 0.621 0.993
0.997 0.623 0.387
0.433 0.436 0.809
0.436 0.433 0.322
0.441 0.928 0.817
0.928 0.441 0.814
0.060 0.060 0.440
0.810 0.810 0.190
0.204 0.598 0.600
0.210 0.212 0.984
0.212 0.210 0.595
0.266 0.655 0.040
0.598 0.204 0.597
0.650 0.653 0.046
0.653 0.650 0.652
0.655 0.266 0.038
0.004 0.005 0.369
0.005 0.004 0.622
0.079 0.331 0.605
0.081 0.224 0.982
0.083 0.584 0.727
0.211 0.601 0.470
0.220 0.329 0.986
0.224 0.081 0.714
0.246 0.999 0.377
0.264 0.786 0.030
0.265 0.645 0.919
0.268 0.536 0.169
0.320 0.607 0.606
0.329 0.220 0.464
0.331 0.079 0.985
0.523 0.644 0.167
0.532 0.780 0.649
0.536 0.268 0.026
0.584 0.083 0.606
0.601 0.211 0.718
0.607 0.320 0.466
0.628 0.881 0.245
0.644 0.523 0.666
0.644 0.784 0.930
0.645 0.265 0.171
0.780 0.532 0.039
0.784 0.644 0.643
0.786 0.264 0.921
0.872 0.873 0.251
0.873 0.872 0.004
0.881 0.628 0.246
0.999 0.246 0.378
```



[2]
Computed X-ray diffraction stick pattern of Na5Bi2PC4O16 for Cu Kα, from a GGA-PBE-relaxed structure.
Peak positions follow from Bragg's law for the DFT cell and can differ from measured ones.

Peak list (10 most intense, 10° ≤ 2θ ≤ 90°, low angle first)
2θ/deg, I_rel
10.41, 100
19.80, 54
20.10, 87
20.90, 75
31.18, 26
31.68, 27
31.86, 26
34.28, 26
34.39, 27
40.24, 33

Cell and atoms:
```
Na5Bi2PC4O16
1.0
0.000 7.335 7.464
7.290 0.000 7.464
7.290 7.335 0.000
Na Bi P C O
10 4 2 8 32
Direct
0.193 0.193 0.807
0.194 0.806 0.194
0.194 0.806 0.806
0.559 0.941 0.941
0.560 0.940 0.560
0.806 0.194 0.194
0.806 0.194 0.806
0.807 0.807 0.193
0.940 0.560 0.940
0.941 0.559 0.559
0.368 0.874 0.380
0.378 0.380 0.874
0.380 0.378 0.368
0.874 0.368 0.378
0.000 0.000 0.000
0.750 0.750 0.750
0.144 0.543 0.157
0.156 0.157 0.543
0.157 0.156 0.144
0.213 0.594 0.598
0.543 0.144 0.156
0.594 0.213 0.595
0.595 0.598 0.594
0.598 0.595 0.213
0.014 0.542 0.276
0.025 0.275 0.155
0.026 0.169 0.545
0.155 0.545 0.025
0.168 0.276 0.542
0.169 0.026 0.260
0.183 0.938 0.939
0.208 0.474 0.727
0.211 0.589 0.476
0.222 0.716 0.592
0.260 0.545 0.169
0.275 0.025 0.545
0.276 0.168 0.014
0.470 0.592 0.716
0.474 0.208 0.590
0.476 0.725 0.211
0.542 0.014 0.168
0.545 0.155 0.275
0.545 0.260 0.026
0.566 0.818 0.808
0.589 0.211 0.725
0.590 0.727 0.474
0.592 0.470 0.222
0.716 0.222 0.470
0.725 0.476 0.589
0.727 0.590 0.208
0.808 0.808 0.566
0.808 0.808 0.818
0.818 0.566 0.808
0.938 0.183 0.939
0.939 0.939 0.183
0.939 0.939 0.938
```



[3]
Computed X-ray diffraction stick pattern of NaBiPCO7 for Cu Kα, from a GGA-PBE-relaxed structure.
Peak positions follow from Bragg's law for the DFT cell and can differ from measured ones.

Peak list (10 most intense, 10° ≤ 2θ ≤ 90°, low angle first)
2θ/deg, I_rel
15.77, 100
18.63, 62
20.68, 90
22.66, 35
24.66, 37
25.09, 53
25.54, 63
31.80, 33
39.96, 34
43.32, 41

Cell and atoms:
```
NaBiPCO7
1.0
5.452 0.000 0.000
0.000 6.975 0.000
-0.165 0.000 9.493
Na Bi P C O
2 2 2 2 14
Direct
0.231 0.000 0.218
0.769 0.500 0.782
0.216 0.785 0.634
0.784 0.285 0.366
0.277 0.279 0.583
0.723 0.779 0.417
0.274 0.750 0.926
0.726 0.250 0.074
0.058 0.751 0.866
0.149 0.453 0.652
0.190 0.258 0.424
0.193 0.104 0.671
0.311 0.767 0.057
0.441 0.806 0.418
0.464 0.735 0.844
0.536 0.235 0.156
0.559 0.306 0.582
0.689 0.267 0.943
0.807 0.604 0.329
0.810 0.758 0.576
0.851 0.953 0.348
0.942 0.251 0.134
```



[4]
Computed X-ray diffraction stick pattern of Na2Bi2C4SO16 for Cu Kα, from a GGA-PBE-relaxed structure.
Peak positions follow from Bragg's law for the DFT cell and can differ from measured ones.

Peak list (10 most intense, 10° ≤ 2θ ≤ 90°, low angle first)
2θ/deg, I_rel
10.29, 100
19.38, 39
19.74, 41
20.19, 29
20.66, 56
24.60, 18
32.03, 18
33.55, 19
39.33, 22
40.12, 22

Cell and atoms:
```
Na2Bi2C4SO16
1.0
0.000 7.460 7.655
7.238 0.000 7.655
7.238 7.460 0.000
Na Bi C S O
4 4 8 2 32
Direct
0.084 0.666 0.666
0.334 0.916 0.916
0.666 0.084 0.084
0.916 0.334 0.334
0.000 0.500 0.500
0.500 0.000 0.500
0.500 0.500 0.000
0.500 0.500 0.500
0.275 0.654 0.287
0.284 0.287 0.654
0.287 0.284 0.275
0.346 0.725 0.716
0.654 0.275 0.284
0.713 0.716 0.725
0.716 0.713 0.346
0.725 0.346 0.713
0.125 0.125 0.125
0.875 0.875 0.875
0.064 0.298 0.072
0.065 0.072 0.298
0.072 0.065 0.064
0.152 0.648 0.300
0.153 0.295 0.385
0.156 0.407 0.649
0.288 0.649 0.407
0.295 0.153 0.668
0.298 0.064 0.065
0.300 0.400 0.152
0.332 0.615 0.705
0.351 0.712 0.844
0.352 0.848 0.600
0.385 0.668 0.153
0.400 0.300 0.648
0.407 0.156 0.288
0.593 0.844 0.712
0.600 0.700 0.352
0.615 0.332 0.847
0.648 0.152 0.400
0.649 0.288 0.156
0.668 0.385 0.295
0.700 0.600 0.848
0.702 0.936 0.935
0.705 0.847 0.332
0.712 0.351 0.593
0.844 0.593 0.351
0.847 0.705 0.615
0.848 0.352 0.700
0.928 0.935 0.936
0.935 0.928 0.702
0.936 0.702 0.928
```